[1]
LiSi5O10: simulated PXRD pattern (copper Kα), based on a cell relaxed with PBE.
Neutral-atom scattering factors, no anomalous dispersion.

Main lines, sorted by position (15° ≤ 2θ ≤ 90°):
| hkl | two_theta | d [Å] | Rel. int. |
| --- | --- | --- | --- |
| 1 0 1 | 18.7 | 4.744 | 100 |
| 1 1 1 | 22.7 | 3.921 | 48 |
| 0 0 2 | 27.5 | 3.239 | 12 |
| 2 1 0 | 28.7 | 3.116 | 22 |
| 2 0 1 | 29.1 | 3.068 | 81 |
| 1 0 2 | 30.4 | 2.937 | 28 |
| 2 1 1 | 31.9 | 2.808 | 50 |
| 3 0 1 | 41.3 | 2.186 | 14 |
| 2 0 3 | 49.7 | 1.836 | 18 |
| 4 0 0 | 52.5 | 1.742 | 16 |

```
data_LiSi5O10
_cell_length_a 6.967
_cell_length_b 6.967
_cell_length_c 6.479
_cell_angle_alpha 90.00
_cell_angle_beta 90.00
_cell_angle_gamma 90.00
_symmetry_space_group_name_H-M 'P -4 m 2'
_symmetry_Int_Tables_number 115
_symmetry_space_group_name_Hall 'P -4 -2'
loop_
_atom_site_label
_atom_site_type_symbol
_atom_site_fract_x
_atom_site_fract_y
_atom_site_fract_z
Li1 Li 0.000 0.000 0.000
Si1 Si 0.231 0.500 0.619
Si2 Si 0.500 0.500 0.000
O1 O 0.000 0.500 0.620
O2 O 0.307 0.500 0.857
O3 O 0.308 0.308 0.500
```

---

[2]
Mg14GaCo: simulated PXRD pattern (copper Kα), based on a cell relaxed with PBE.
Neutral-atom scattering factors, no anomalous dispersion.

Main lines, sorted by position (15° ≤ 2θ ≤ 90°):
| hkl | two_theta | d [Å] | Rel. int. |
| --- | --- | --- | --- |
| 1 0 0 | 16.4 | 5.421 | 19 |
| 1 0 2 | 24.3 | 3.669 | 10 |
| 2 0 0 | 33.0 | 2.710 | 26 |
| 0 0 4 | 36.0 | 2.492 | 25 |
| 2 0 2 | 37.8 | 2.381 | 100 |
| 2 0 4 | 49.7 | 1.835 | 16 |
| 2 2 0 | 59.0 | 1.565 | 17 |
| 2 0 6 | 65.9 | 1.417 | 17 |
| 2 2 4 | 71.1 | 1.325 | 18 |
| 4 0 2 | 72.2 | 1.308 | 13 |

```
data_Mg14GaCo
_cell_length_a 6.2594
_cell_length_b 6.2594
_cell_length_c 9.9693
_cell_angle_alpha 90.00
_cell_angle_beta 90.00
_cell_angle_gamma 120.00
_symmetry_space_group_name_H-M 'P -6 m 2'
_symmetry_Int_Tables_number 187
_symmetry_space_group_name_Hall 'P -6 2'
loop_
_atom_site_label
_atom_site_type_symbol
_atom_site_fract_x
_atom_site_fract_y
_atom_site_fract_z
Mg1 Mg 0.0000 0.0000 0.2492
Mg2 Mg 0.0162 0.5081 0.2600
Mg3 Mg 0.3302 0.1651 0.5000
Mg4 Mg 0.3356 0.1678 0.0000
Ga1 Ga 0.3333 0.6667 0.0000
Co1 Co 0.3333 0.6667 0.5000
```

---

[3]
Ga2Te3: simulated PXRD pattern (copper Kα), based on a cell relaxed with PBE.
Neutral-atom scattering factors, no anomalous dispersion.

Main lines, sorted by position (15° ≤ 2θ ≤ 90°):
| hkl | two_theta | d [Å] | Rel. int. |
| --- | --- | --- | --- |
| 0 1 2 | 24.6 | 3.625 | 11 |
| 0 1 5 | 29.7 | 3.012 | 100 |
| 1 0 7 | 34.7 | 2.588 | 16 |
| 1 1 0 | 41.3 | 2.189 | 45 |
| 1 0 10 | 43.6 | 2.075 | 25 |
| 2 0 5 | 51.6 | 1.770 | 21 |
| 0 2 10 | 61.6 | 1.506 | 9 |
| 1 1 12 | 61.7 | 1.503 | 11 |
| 1 2 5 | 68.1 | 1.377 | 19 |
| 2 1 10 | 76.8 | 1.241 | 9 |

```
data_Ga2Te3
_cell_length_a 4.3771
_cell_length_b 4.3771
_cell_length_c 24.8013
_cell_angle_alpha 90.00
_cell_angle_beta 90.00
_cell_angle_gamma 120.00
_symmetry_space_group_name_H-M 'R -3 m'
_symmetry_Int_Tables_number 166
_symmetry_space_group_name_Hall '-R 3 2"'
loop_
_atom_site_label
_atom_site_type_symbol
_atom_site_fract_x
_atom_site_fract_y
_atom_site_fract_z
Ga1 Ga 0.0000 0.0000 0.1909
Te1 Te 0.0000 0.0000 0.0000
Te2 Te 0.0000 0.0000 0.4131
```

---

[4]
NaSi6: simulated PXRD pattern (copper Kα), based on a cell relaxed with PBE.
Neutral-atom scattering factors, no anomalous dispersion.

Main lines, sorted by position (15° ≤ 2θ ≤ 90°):
| hkl | two_theta | d [Å] | Rel. int. |
| --- | --- | --- | --- |
| 0 0 1 | 35.9 | 2.500 | 23 |
| 2 1 0 | 38.6 | 2.333 | 100 |
| 1 0 1 | 38.9 | 2.317 | 17 |
| 1 1 1 | 44.3 | 2.047 | 7 |
| 2 0 1 | 46.8 | 1.943 | 7 |
| 2 1 1 | 53.7 | 1.706 | 47 |
| 1 4 0 | 69.8 | 1.347 | 16 |
| 1 4 1 | 81.1 | 1.186 | 14 |
| 4 2 0 | 82.7 | 1.167 | 10 |
| 2 1 2 | 88.8 | 1.102 | 18 |

```
data_NaSi6
_cell_length_a 7.1276
_cell_length_b 7.1276
_cell_length_c 2.5003
_cell_angle_alpha 90.00
_cell_angle_beta 90.00
_cell_angle_gamma 120.00
_symmetry_space_group_name_H-M 'P 6/m'
_symmetry_Int_Tables_number 175
_symmetry_space_group_name_Hall '-P 6'
loop_
_atom_site_label
_atom_site_type_symbol
_atom_site_fract_x
_atom_site_fract_y
_atom_site_fract_z
Na1 Na 0.0000 0.0000 0.0000
Si1 Si 0.1471 0.7085 0.5000
```

---

[5]
BaAl2Te4: simulated PXRD pattern (copper Kα), based on a cell relaxed with PBE.
Neutral-atom scattering factors, no anomalous dispersion.

Main lines, sorted by position (15° ≤ 2θ ≤ 90°):
| hkl | two_theta | d [Å] | Rel. int. |
| --- | --- | --- | --- |
| 1 1 1 | 19.5 | 4.548 | 12 |
| 2 1 1 | 26.4 | 3.372 | 100 |
| 2 2 0 | 29.0 | 3.076 | 13 |
| 3 1 0 | 32.5 | 2.751 | 20 |
| 2 0 2 | 33.6 | 2.668 | 34 |
| 4 1 1 | 45.0 | 2.014 | 22 |
| 2 1 3 | 46.6 | 1.948 | 26 |
| 4 0 2 | 49.9 | 1.829 | 11 |
| 3 3 2 | 52.2 | 1.753 | 17 |
| 4 1 3 | 60.1 | 1.539 | 11 |

```
data_BaAl2Te4
_cell_length_a 8.699
_cell_length_b 8.699
_cell_length_c 6.755
_cell_angle_alpha 90.00
_cell_angle_beta 90.00
_cell_angle_gamma 90.00
_symmetry_space_group_name_H-M 'P 4/n b m'
_symmetry_Int_Tables_number 125
loop_
_symmetry_equiv_pos_as_xyz
'x,y,z'
'-x,-y,-z'
'-y+1/2,x,z'
'y+1/2,-x,-z'
'-x+1/2,-y+1/2,z'
'x+1/2,y+1/2,-z'
'y,-x+1/2,z'
'-y,x+1/2,-z'
'x,-y+1/2,-z'
'-x,y+1/2,z'
'-y+1/2,-x+1/2,-z'
'y+1/2,x+1/2,z'
'-x+1/2,y,-z'
'x+1/2,-y,z'
'y,x,-z'
'-y,-x,z'
loop_
_atom_site_label
_atom_site_type_symbol
_atom_site_fract_x
_atom_site_fract_y
_atom_site_fract_z
Ba1 Ba 0.250 0.250 0.000
Al1 Al 0.250 0.750 0.000
Al2 Al 0.250 0.750 0.500
Te1 Te 0.083 0.583 0.250
```

---

[6]
NpSi2: simulated PXRD pattern (copper Kα), based on a cell relaxed with PBE.
Neutral-atom scattering factors, no anomalous dispersion.

Main lines, sorted by position (15° ≤ 2θ ≤ 90°):
| hkl | two_theta | d [Å] | Rel. int. |
| --- | --- | --- | --- |
| 1 0 1 | 23.5 | 3.790 | 62 |
| 0 0 4 | 25.0 | 3.563 | 34 |
| 1 0 3 | 29.5 | 3.029 | 59 |
| 1 1 2 | 34.6 | 2.590 | 100 |
| 1 0 5 | 39.0 | 2.308 | 42 |
| 2 0 0 | 46.2 | 1.966 | 28 |
| 1 0 7 | 50.5 | 1.807 | 37 |
| 2 1 3 | 55.7 | 1.649 | 21 |
| 2 1 5 | 62.0 | 1.497 | 22 |
| 3 1 2 | 78.0 | 1.225 | 20 |

```
data_NpSi2
_cell_length_a 3.932
_cell_length_b 3.932
_cell_length_c 14.253
_cell_angle_alpha 90.00
_cell_angle_beta 90.00
_cell_angle_gamma 90.00
_symmetry_space_group_name_H-M 'I 41/a m d'
_symmetry_Int_Tables_number 141
loop_
_symmetry_equiv_pos_as_xyz
'x,y,z'
'-x,-y,-z'
'-y+1/4,x+3/4,z+1/4'
'y+1/4,-x+3/4,-z+1/4'
'-x+1/2,-y,z+1/2'
'x+1/2,y,-z+1/2'
'y+1/4,-x+1/4,z+3/4'
'-y+1/4,x+1/4,-z+3/4'
'x,-y,-z'
'-x,y,z'
'-y+1/4,-x+1/4,-z+3/4'
'y+1/4,x+1/4,z+3/4'
'-x+1/2,y,-z+1/2'
'x+1/2,-y,z+1/2'
'y+1/4,x+3/4,-z+1/4'
'-y+1/4,-x+3/4,z+1/4'
'x+1/2,y+1/2,z+1/2'
'-x+1/2,-y+1/2,-z+1/2'
'-y+3/4,x+1/4,z+3/4'
'y+3/4,-x+1/4,-z+3/4'
'-x,-y+1/2,z'
'x,y+1/2,-z'
'y+3/4,-x+3/4,z+1/4'
'-y+3/4,x+3/4,-z+1/4'
'x+1/2,-y+1/2,-z+1/2'
'-x+1/2,y+1/2,z+1/2'
'-y+3/4,-x+3/4,-z+1/4'
'y+3/4,x+3/4,z+1/4'
'-x,y+1/2,-z'
'x,-y+1/2,z'
'y+3/4,x+1/4,-z+3/4'
'-y+3/4,-x+1/4,z+3/4'
loop_
_atom_site_label
_atom_site_type_symbol
_atom_site_fract_x
_atom_site_fract_y
_atom_site_fract_z
Np1 Np 0.000 0.250 0.375
Si1 Si 0.000 0.250 0.793
```

---

[7]
InSb3Pb4O13: simulated PXRD pattern (copper Kα), based on a cell relaxed with PBE.
Neutral-atom scattering factors, no anomalous dispersion.

Main lines, sorted by position (15° ≤ 2θ ≤ 90°):
| hkl | two_theta | d [Å] | Rel. int. |
| --- | --- | --- | --- |
| 2 0 2 | 28.7 | 3.110 | 100 |
| 0 0 6 | 28.9 | 3.089 | 33 |
| 0 2 4 | 33.3 | 2.689 | 52 |
| 2 2 0 | 47.7 | 1.906 | 30 |
| 2 0 8 | 48.0 | 1.896 | 28 |
| 0 4 2 | 56.6 | 1.625 | 15 |
| 2 2 6 | 56.7 | 1.622 | 30 |
| 0 2 10 | 57.0 | 1.616 | 15 |
| 4 0 4 | 59.4 | 1.555 | 12 |
| 4 2 2 | 77.1 | 1.237 | 13 |

```
data_InSb3Pb4O13
_cell_length_a 7.6249
_cell_length_b 7.6249
_cell_length_c 18.5345
_cell_angle_alpha 90.00
_cell_angle_beta 90.00
_cell_angle_gamma 120.00
_symmetry_space_group_name_H-M 'R 3 m'
_symmetry_Int_Tables_number 160
_symmetry_space_group_name_Hall 'R 3 -2"'
loop_
_atom_site_label
_atom_site_type_symbol
_atom_site_fract_x
_atom_site_fract_y
_atom_site_fract_z
In1 In 0.0000 0.0000 0.0000
Sb1 Sb 0.0007 0.5004 0.5003
Pb1 Pb 0.0000 0.0000 0.4988
Pb2 Pb 0.0001 0.5000 0.0008
O1 O 0.0000 0.0000 0.6225
O2 O 0.0515 0.5258 0.6052
O3 O 0.0693 0.5347 0.8528
O4 O 0.1907 0.3815 0.7280
O5 O 0.2021 0.4042 0.4814
```